Computed X-ray diffraction stick pattern
Compound: LiPaWN4
Radiation: λ = 1.5418 Å (Cu Kα)
Structure: a structure optimized by DFT (PBE)
Peak positions follow from Bragg's law for the DFT cell and can differ from measured ones.

The 10 most intense peaks (2θ = 10–90°), sorted by position:
d 6.433, 2θ 13.77, I 47; d 3.547, 2θ 25.11, I 56; d 2.797, 2θ 32.00, I 100; d 2.609, 2θ 34.37, I 47; d 2.144, 2θ 42.14, I 14; d 2.026, 2θ 44.72, I 18; d 1.845, 2θ 49.40, I 21; d 1.657, 2θ 55.47, I 25; d 1.540, 2θ 60.08, I 35; d 1.399, 2θ 66.90, I 14

Lattice parameters (Å, degrees): 6.942 6.942 6.942 149.17 149.17 44.15
Fractional coordinates of all 7 atoms:
1 Li 0.000 0.000 0.000
2 Pa 0.684 0.684 0.000
3 W 0.359 0.359 0.000
4 N 0.149 0.149 0.000
5 N 0.308 0.808 0.500
6 N 0.501 0.501 0.000
7 N 0.808 0.308 0.500

=====

Computed X-ray diffraction stick pattern
Compound: Li6Si2O7
Radiation: λ = 1.5418 Å (Cu Kα)
Structure: a structure optimized by DFT (PBE)
Peak positions follow from Bragg's law for the DFT cell and can differ from measured ones.

The 10 most intense peaks (2θ = 10–90°), sorted by position:
d 5.514, 2θ 16.07, I 13; d 4.159, 2θ 21.37, I 25; d 3.670, 2θ 24.25, I 53; d 3.487, 2θ 25.54, I 100; d 2.844, 2θ 31.45, I 22; d 2.458, 2θ 36.55, I 32; d 2.204, 2θ 40.95, I 20; d 1.980, 2θ 45.84, I 14; d 1.949, 2θ 46.59, I 27; d 1.448, 2θ 64.34, I 14

Lattice parameters (Å, degrees): 7.798 7.798 4.917 90.00 90.00 90.00
Fractional coordinates of all 30 atoms:
1 Li 0.084 0.137 0.204
2 Li 0.112 0.612 0.187
3 Li 0.137 0.916 0.796
4 Li 0.363 0.416 0.204
5 Li 0.388 0.112 0.813
6 Li 0.416 0.637 0.796
7 Li 0.584 0.363 0.796
8 Li 0.612 0.888 0.813
9 Li 0.637 0.584 0.204
10 Li 0.863 0.084 0.796
11 Li 0.888 0.388 0.187
12 Li 0.916 0.863 0.204
13 Si 0.144 0.356 0.680
14 Si 0.356 0.856 0.320
15 Si 0.644 0.144 0.320
16 Si 0.856 0.644 0.680
17 O 0.000 0.500 0.817
18 O 0.098 0.165 0.791
19 O 0.131 0.369 0.348
20 O 0.165 0.902 0.209
21 O 0.335 0.402 0.791
22 O 0.369 0.869 0.652
23 O 0.402 0.665 0.209
24 O 0.500 0.000 0.183
25 O 0.598 0.335 0.209
26 O 0.631 0.131 0.652
27 O 0.665 0.598 0.791
28 O 0.835 0.098 0.209
29 O 0.869 0.631 0.348
30 O 0.902 0.835 0.791

=====

Computed X-ray diffraction stick pattern
Compound: Li3Mg3Hg2
Radiation: λ = 1.5418 Å (Cu Kα)
Structure: a structure optimized by DFT (PBE)
Peak positions follow from Bragg's law for the DFT cell and can differ from measured ones.

The 10 most intense peaks (2θ = 10–90°), sorted by position:
d 3.847, 2θ 23.12, I 100; d 3.774, 2θ 23.57, I 97; d 2.694, 2θ 33.25, I 56; d 2.236, 2θ 40.34, I 33; d 2.193, 2θ 41.17, I 63; d 2.179, 2θ 41.44, I 31; d 1.714, 2θ 53.46, I 22; d 1.694, 2θ 54.14, I 21; d 1.462, 2θ 63.63, I 18; d 1.442, 2θ 64.63, I 17

Lattice parameters (Å, degrees): 5.390 5.390 5.390 88.87 88.87 88.87
Fractional coordinates of all 8 atoms:
1 Li 0.000 0.244 0.756
2 Li 0.244 0.756 0.000
3 Li 0.756 0.000 0.244
4 Mg 0.249 0.751 0.500
5 Mg 0.500 0.249 0.751
6 Mg 0.751 0.500 0.249
7 Hg 0.247 0.247 0.247
8 Hg 0.753 0.753 0.753

=====

Computed X-ray diffraction stick pattern
Compound: RbUCu2S6
Radiation: λ = 1.5418 Å (Cu Kα)
Structure: a structure optimized by DFT (PBE)
Peak positions follow from Bragg's law for the DFT cell and can differ from measured ones.

The 10 most intense peaks (2θ = 10–90°), sorted by position:
d 7.607, 2θ 11.63, I 72; d 6.639, 2θ 13.34, I 56; d 5.030, 2θ 17.63, I 46; d 4.108, 2θ 21.63, I 100; d 3.477, 2θ 25.62, I 26; d 2.608, 2θ 34.39, I 33; d 2.536, 2θ 35.40, I 24; d 2.472, 2θ 36.34, I 30; d 2.452, 2θ 36.65, I 26; d 2.004, 2θ 45.24, I 20

Lattice parameters (Å, degrees): 8.871 8.871 7.896 105.68 105.68 110.40
Fractional coordinates of all 20 atoms:
1 Rb 0.097 0.903 0.750
2 Rb 0.903 0.097 0.250
3 U 0.335 0.665 0.250
4 U 0.665 0.335 0.750
5 Cu 0.322 0.401 0.891
6 Cu 0.401 0.322 0.391
7 Cu 0.599 0.678 0.609
8 Cu 0.678 0.599 0.109
9 S 0.048 0.620 0.318
10 S 0.201 0.592 0.873
11 S 0.246 0.330 0.125
12 S 0.330 0.246 0.625
13 S 0.380 0.952 0.182
14 S 0.408 0.799 0.627
15 S 0.592 0.201 0.373
16 S 0.620 0.048 0.818
17 S 0.670 0.754 0.375
18 S 0.754 0.670 0.875
19 S 0.799 0.408 0.127
20 S 0.952 0.380 0.682

=====

Computed X-ray diffraction stick pattern
Compound: NbW
Radiation: λ = 1.5418 Å (Cu Kα)
Structure: a structure optimized by DFT (PBE)
Peak positions follow from Bragg's law for the DFT cell and can differ from measured ones.

The 10 most intense peaks (2θ = 10–90°), sorted by position:
d 4.590, 2θ 19.34, I 13; d 2.640, 2θ 33.96, I 7; d 2.293, 2θ 39.30, I 50; d 2.288, 2θ 39.37, I 100; d 1.621, 2θ 56.79, I 17; d 1.615, 2θ 57.02, I 8; d 1.324, 2θ 71.23, I 17; d 1.322, 2θ 71.37, I 26; d 1.320, 2θ 71.47, I 9; d 1.144, 2θ 84.70, I 14

Lattice parameters (Å, degrees): 2.802 2.802 4.590 90.00 90.00 109.61
Fractional coordinates of all 2 atoms:
1 Nb 0.000 0.000 0.000
2 W 0.500 0.500 0.500

=====

Computed X-ray diffraction stick pattern
Compound: ThPH2Pd2
Radiation: λ = 1.5418 Å (Cu Kα)
Structure: a structure optimized by DFT (PBE)
Peak positions follow from Bragg's law for the DFT cell and can differ from measured ones.

The 10 most intense peaks (2θ = 10–90°), sorted by position:
d 3.743, 2θ 23.77, I 100; d 2.640, 2θ 33.95, I 95; d 2.537, 2θ 35.37, I 99; d 2.453, 2θ 36.63, I 89; d 2.001, 2θ 45.31, I 54; d 1.867, 2θ 48.78, I 20; d 1.796, 2θ 50.85, I 14; d 1.594, 2θ 57.83, I 39; d 1.247, 2θ 76.37, I 16; d 1.216, 2θ 78.69, I 20

Lattice parameters (Å, degrees): 5.788 5.542 6.013 90.00 118.67 90.00
Fractional coordinates of all 12 atoms:
1 Th 0.234 0.250 0.467
2 Th 0.766 0.750 0.533
3 P 0.341 0.750 0.680
4 P 0.659 0.250 0.320
5 H 0.100 0.250 0.801
6 H 0.300 0.750 0.199
7 H 0.700 0.250 0.801
8 H 0.900 0.750 0.199
9 Pd 0.248 0.000 0.000
10 Pd 0.248 0.500 0.000
11 Pd 0.752 0.000 0.000
12 Pd 0.752 0.500 0.000

=====

Computed X-ray diffraction stick pattern
Compound: MgInSn
Radiation: λ = 1.5418 Å (Cu Kα)
Structure: a structure optimized by DFT (PBE)
Peak positions follow from Bragg's law for the DFT cell and can differ from measured ones.

The 10 most intense peaks (2θ = 10–90°), sorted by position:
d 3.349, 2θ 26.62, I 69; d 3.030, 2θ 29.48, I 19; d 2.965, 2θ 30.14, I 13; d 2.586, 2θ 34.68, I 24; d 2.545, 2θ 35.26, I 100; d 2.482, 2θ 36.19, I 29; d 2.064, 2θ 43.87, I 16; d 1.587, 2θ 58.13, I 14; d 1.445, 2θ 64.49, I 17; d 1.423, 2θ 65.59, I 13

Lattice parameters (Å, degrees): 9.248 9.248 4.964 90.00 90.00 158.82
Fractional coordinates of all 6 atoms:
1 Mg 0.058 0.942 0.750
2 Mg 0.942 0.058 0.250
3 In 0.286 0.714 0.250
4 In 0.714 0.286 0.750
5 Sn 0.411 0.589 0.750
6 Sn 0.589 0.411 0.250

=====

Computed X-ray diffraction stick pattern
Compound: CeDy5Tm2
Radiation: λ = 1.5418 Å (Cu Kα)
Structure: a structure optimized by DFT (PBE)
Peak positions follow from Bragg's law for the DFT cell and can differ from measured ones.

The 10 most intense peaks (2θ = 10–90°), sorted by position:
d 2.879, 2θ 31.06, I 100; d 2.493, 2θ 36.02, I 51; d 1.763, 2θ 51.86, I 36; d 1.504, 2θ 61.69, I 43; d 1.440, 2θ 64.76, I 12; d 1.247, 2θ 76.36, I 4; d 1.246, 2θ 76.48, I 2; d 1.144, 2θ 84.73, I 18; d 1.115, 2θ 87.44, I 11; d 1.114, 2θ 87.55, I 6

Lattice parameters (Å, degrees): 7.055 14.112 4.982 90.00 90.00 90.00
Fractional coordinates of all 16 atoms:
1 Ce 0.000 0.000 0.000
2 Ce 0.500 0.500 0.000
3 Dy 0.000 0.500 0.000
4 Dy 0.002 0.250 0.000
5 Dy 0.247 0.124 0.500
6 Dy 0.253 0.624 0.500
7 Dy 0.498 0.750 0.000
8 Dy 0.500 0.000 0.000
9 Dy 0.502 0.250 0.000
10 Dy 0.747 0.376 0.500
11 Dy 0.753 0.876 0.500
12 Dy 0.998 0.750 0.000
13 Tm 0.245 0.876 0.500
14 Tm 0.255 0.376 0.500
15 Tm 0.745 0.624 0.500
16 Tm 0.755 0.124 0.500

=====

Computed X-ray diffraction stick pattern
Compound: CsBiSbTe3
Radiation: λ = 1.5418 Å (Cu Kα)
Structure: a structure optimized by DFT (PBE)
Peak positions follow from Bragg's law for the DFT cell and can differ from measured ones.

The 10 most intense peaks (2θ = 10–90°), sorted by position:
d 8.748, 2θ 10.11, I 60; d 3.791, 2θ 23.46, I 16; d 3.627, 2θ 24.55, I 23; d 3.507, 2θ 25.39, I 16; d 3.351, 2θ 26.60, I 100; d 3.119, 2θ 28.62, I 22; d 2.755, 2θ 32.50, I 37; d 2.454, 2θ 36.61, I 17; d 2.273, 2θ 39.66, I 30; d 1.940, 2θ 46.83, I 14

Lattice parameters (Å, degrees): 10.397 4.545 11.402 90.00 107.40 90.00
Fractional coordinates of all 12 atoms:
1 Cs 0.194 0.250 0.233
2 Cs 0.806 0.750 0.767
3 Bi 0.131 0.250 0.581
4 Bi 0.869 0.750 0.419
5 Sb 0.354 0.750 0.863
6 Sb 0.646 0.250 0.137
7 Te 0.141 0.250 0.854
8 Te 0.316 0.750 0.557
9 Te 0.443 0.750 0.132
10 Te 0.557 0.250 0.868
11 Te 0.684 0.250 0.443
12 Te 0.859 0.750 0.146

=====

Computed X-ray diffraction stick pattern
Compound: Mg4In3
Radiation: λ = 1.5418 Å (Cu Kα)
Structure: a structure optimized by DFT (PBE)
Peak positions follow from Bragg's law for the DFT cell and can differ from measured ones.

The 10 most intense peaks (2θ = 10–90°), sorted by position:
d 5.444, 2θ 16.28, I 34; d 3.454, 2θ 25.80, I 57; d 2.777, 2θ 32.24, I 73; d 2.474, 2θ 36.32, I 19; d 2.438, 2θ 36.86, I 100; d 1.963, 2θ 46.24, I 26; d 1.707, 2θ 53.70, I 15; d 1.529, 2θ 60.54, I 45; d 1.357, 2θ 69.23, I 14; d 1.242, 2θ 76.75, I 11

Lattice parameters (Å, degrees): 11.237 11.237 11.237 159.87 159.87 28.61
Fractional coordinates of all 7 atoms:
1 Mg 0.071 0.071 0.000
2 Mg 0.356 0.356 0.000
3 Mg 0.644 0.644 0.000
4 Mg 0.929 0.929 0.000
5 In 0.211 0.211 0.000
6 In 0.500 0.500 0.000
7 In 0.789 0.789 0.000

=====

Computed X-ray diffraction stick pattern
Compound: Y2ZnIn
Radiation: λ = 1.5418 Å (Cu Kα)
Structure: a structure optimized by DFT (PBE)
Peak positions follow from Bragg's law for the DFT cell and can differ from measured ones.

The 10 most intense peaks (2θ = 10–90°), sorted by position:
d 2.945, 2θ 30.35, I 17; d 2.844, 2θ 31.45, I 100; d 2.730, 2θ 32.81, I 38; d 2.481, 2θ 36.20, I 57; d 2.349, 2θ 38.32, I 52; d 2.304, 2θ 39.09, I 33; d 1.899, 2θ 47.90, I 18; d 1.761, 2θ 51.93, I 20; d 1.508, 2θ 61.49, I 23; d 1.279, 2θ 74.10, I 16

Lattice parameters (Å, degrees): 4.608 6.188 6.188 35.75 90.00 90.00
Fractional coordinates of all 4 atoms:
1 Y 0.000 0.000 0.000
2 Y 0.500 0.311 0.311
3 Zn 0.500 0.576 0.576
4 In 0.000 0.723 0.723

=====

Computed X-ray diffraction stick pattern
Compound: Tb2CeCd4
Radiation: λ = 1.5418 Å (Cu Kα)
Structure: a structure optimized by DFT (PBE)
Peak positions follow from Bragg's law for the DFT cell and can differ from measured ones.

The 10 most intense peaks (2θ = 10–90°), sorted by position:
d 4.273, 2θ 20.79, I 14; d 3.327, 2θ 26.80, I 10; d 2.651, 2θ 33.81, I 55; d 2.600, 2θ 34.50, I 100; d 1.875, 2θ 48.57, I 19; d 1.520, 2θ 60.93, I 37; d 1.491, 2θ 62.25, I 16; d 1.300, 2θ 72.76, I 10; d 1.186, 2θ 81.12, I 9; d 1.181, 2θ 81.51, I 8

Lattice parameters (Å, degrees): 5.302 5.302 7.215 90.00 90.00 90.00
Fractional coordinates of all 7 atoms:
1 Tb 0.000 0.000 0.000
2 Tb 0.500 0.500 0.500
3 Ce 0.000 0.000 0.500
4 Cd 0.000 0.500 0.228
5 Cd 0.000 0.500 0.772
6 Cd 0.500 0.000 0.228
7 Cd 0.500 0.000 0.772